Calculated X-ray powder pattern of DySbRh for λ = 1.5418 Å (Cu Kα), from a crystal structure in the Materials Project, relaxed with GGA-PBE.
Kinematic intensities with the Lorentz-polarization factor, no thermal factor.

Peak list (10 most intense, 10 to 90 degrees two-theta, sorted by position)
hkl  2θ (°)  I (rel.)
1 1 2  32.6  49
2 1 1  33.7  100
2 0 2  34.0  38
0 2 0  39.1  43
3 0 1  39.4  27
0 1 3  39.9  56
2 2 2  52.7  26
3 2 1  56.7  18
3 1 4  65.1  24
5 1 2  73.2  16

Cell and atoms:
a b c (Å): 7.1812 4.6121 7.7664
angles (deg): 90.00 90.00 90.00
Space group Pnma (No. 62)
Symmetry-distinct sites (fractional):
Dy (0.0104, 0.2500, 0.2005) x4
Sb (0.1910, 0.2500, 0.5926) x4
Rh (0.1987, 0.7500, 0.4225) x4